Entry 1:
The following is a theoretical powder diffractogram of NbV3Fe2P6O24. It was derived from a DFT-relaxed cell (PBE+U, Alexandria), using a wavelength of 1.5418 Å.
Intensities are scaled so that the largest is 100.

Peak list (8 most intense, 2θ from 10° to 80°, low angle first)
| Position (°2θ) | d (Å) | I/Imax | hkl |
| --- | --- | --- | --- |
| 20.34 | 4.365 | 90 | 1 1 0 |
| 24.03 | 3.703 | 100 | 1 1 3 |
| 32.82 | 2.729 | 69 | 2 -1 6 |
| 35.62 | 2.520 | 39 | 3 0 0 |
| 47.04 | 1.932 | 34 | 3 -2 8 |
| 49.21 | 1.851 | 26 | 2 2 6 |
| 55.71 | 1.650 | 25 | 1 4 0 |
| 62.22 | 1.492 | 18 | 5 -1 6 |

Lattice parameters (Å, degrees): 8.7308 8.7308 20.9744 90.00 90.00 120.00
Space group R3 (No. 146, hexagonal axes)
Unique sites:
Nb  0.0000  0.0000  0.0000
V  0.0000  0.0000  0.2866
V  0.0000  0.0000  0.5018
V  0.0000  0.0000  0.7842
Fe  0.0000  0.0000  0.1463
Fe  0.0000  0.0000  0.6440
P  0.9999  0.2968  0.8905
P  0.0034  0.7115  0.3936
O  0.0006  0.8034  0.4546
O  0.0105  0.1941  0.9511
O  0.0142  0.8311  0.0657
O  0.0211  0.1877  0.5689
O  0.1393  0.4674  0.4985
O  0.1429  0.6756  0.9997
O  0.1657  0.4836  0.8861
O  0.1658  0.6847  0.3858


Entry 2:
The following is a theoretical powder diffractogram of SrNbFeSnO6. It was derived from a DFT-relaxed cell (PBE+U, Alexandria), using a wavelength of 1.5418 Å.
Intensities are scaled so that the largest is 100.

Peak list (8 most intense, 2θ from 10° to 80°, low angle first)
| Position (°2θ) | d (Å) | I/Imax | hkl |
| --- | --- | --- | --- |
| 19.09 | 4.649 | 5 | 1 1 1 |
| 31.43 | 2.847 | 100 | 2 2 0 |
| 37.03 | 2.428 | 3 | 3 1 1 |
| 38.74 | 2.324 | 8 | 2 2 2 |
| 45.04 | 2.013 | 35 | 4 0 0 |
| 55.95 | 1.644 | 40 | 4 2 2 |
| 65.59 | 1.423 | 21 | 4 4 0 |
| 74.54 | 1.273 | 17 | 6 2 0 |

Lattice parameters (Å, degrees): 8.052 8.052 8.052 90.00 90.00 90.00
Space group F-43m (No. 216)
Unique sites:
Sr  0.000  0.000  0.000
Nb  0.250  0.250  0.750
Fe  0.250  0.250  0.250
Sn  0.000  0.000  0.500
O  0.001  0.250  0.750


Which formula does entry 1 have?
NbV3Fe2P6O24